Structure and theoretical X-ray diffraction stick pattern of CaTb5Ho3 (a crystal structure in Alexandria, relaxed with PBE; λ = 1.5418 Å (Cu Kα)).
Peak positions follow from Bragg's law for the DFT cell and can differ from measured ones.

Most intense lines, 2θ = 10–80°, sorted by position:
h k l  2theta  Rel. int.
0 1 3  29.3  48
2 3 1  30.4  100
0 6 0  31.0  70
2 2 2  32.8  93
2 4 2  37.5  29
0 5 3  39.0  29
4 0 0  49.6  17
2 8 2  52.9  21
2 3 5  57.9  32
4 6 0  59.6  19

Crystal structure
```
data_CaTb5Ho3
_cell_length_a 7.3520
_cell_length_b 17.3087
_cell_length_c 9.2885
_cell_angle_alpha 90.00
_cell_angle_beta 90.00
_cell_angle_gamma 90.00
_symmetry_space_group_name_H-M 'I m m a'
_symmetry_Int_Tables_number 74
_symmetry_space_group_name_Hall '-I 2b 2'
loop_
_atom_site_label
_atom_site_type_symbol
_atom_site_fract_x
_atom_site_fract_y
_atom_site_fract_z
Ca1 Ca 0.0000 0.2500 0.0987
Tb1 Tb 0.0000 0.2500 0.4649
Tb2 Tb 0.2413 0.0865 0.4300
Ho1 Ho 0.0000 0.0651 0.7529
Ho2 Ho 0.2500 0.2500 0.7500
```

=====

Structure and theoretical X-ray diffraction stick pattern of CaTb15Ho4 (a crystal structure in Alexandria, relaxed with PBE; λ = 1.5418 Å (Cu Kα)).
Peak positions follow from Bragg's law for the DFT cell and can differ from measured ones.

Most intense lines, 2θ = 10–80°, sorted by position:
h k l  2theta  Rel. int.
0 0 3  10.5  1
1 1 5  30.7  100
1 1 6  32.9  1
2 0 0  35.6  51
2 2 0  51.2  36
1 1 15  60.9  14
3 1 5  61.0  29
2 2 10  64.0  12
0 0 20  75.3  2
4 0 0  75.4  4

Crystal structure
```
data_CaTb15Ho4
_cell_length_a 5.0409
_cell_length_b 5.0409
_cell_length_c 25.2359
_cell_angle_alpha 90.00
_cell_angle_beta 90.00
_cell_angle_gamma 90.00
_symmetry_space_group_name_H-M 'P 4/m m m'
_symmetry_Int_Tables_number 123
_symmetry_space_group_name_Hall '-P 4 2'
loop_
_atom_site_label
_atom_site_type_symbol
_atom_site_fract_x
_atom_site_fract_y
_atom_site_fract_z
Ca1 Ca 0.0000 0.0000 0.0000
Tb1 Tb 0.0000 0.5000 0.1045
Tb2 Tb 0.0000 0.5000 0.3019
Tb3 Tb 0.0000 0.5000 0.5000
Tb4 Tb 0.5000 0.5000 0.0000
Tb5 Tb 0.5000 0.5000 0.2013
Tb6 Tb 0.5000 0.5000 0.4006
Ho1 Ho 0.0000 0.0000 0.2016
Ho2 Ho 0.0000 0.0000 0.4009
```

=====

Structure and theoretical X-ray diffraction stick pattern of CaTbHo2 (a crystal structure in Alexandria, relaxed with PBE; λ = 1.5418 Å (Cu Kα)).
Peak positions follow from Bragg's law for the DFT cell and can differ from measured ones.

Most intense lines, 2θ = 10–80°, sorted by position:
h k l  2theta  Rel. int.
1 1 1  29.6  55
8 0 0  29.9  71
4 0 -2  30.8  67
3 1 1  31.7  100
4 0 2  32.7  45
5 1 -1  34.3  64
7 1 -1  38.9  42
1 1 -3  50.1  32
0 2 0  52.6  41
4 2 -2  62.2  24

Crystal structure
```
data_CaTbHo2
_cell_length_a 23.9311
_cell_length_b 3.4790
_cell_length_c 6.4139
_cell_angle_alpha 90.00
_cell_angle_beta 94.05
_cell_angle_gamma 90.00
_symmetry_space_group_name_H-M 'C 1 2/m 1'
_symmetry_Int_Tables_number 12
_symmetry_space_group_name_Hall '-C 2y'
loop_
_atom_site_label
_atom_site_type_symbol
_atom_site_fract_x
_atom_site_fract_y
_atom_site_fract_z
Ca1 Ca 0.0014 0.0000 0.2493
Tb1 Tb 0.2483 0.0000 0.2483
Ho1 Ho 0.1274 0.5000 0.0377
Ho2 Ho 0.1354 0.0000 0.5460
```

=====

Structure and theoretical X-ray diffraction stick pattern of CaTb6Ho2 (a crystal structure in Alexandria, relaxed with PBE; λ = 1.5418 Å (Cu Kα)).
Peak positions follow from Bragg's law for the DFT cell and can differ from measured ones.

Most intense lines, 2θ = 10–80°, sorted by position:
h k l  2theta  Rel. int.
1 -3 1  30.5  100
1 -1 3  30.6  100
1 2 -3  35.4  68
3 -2 1  35.6  33
1 4 -1  50.8  12
1 0 -5  51.1  48
0 5 -4  60.5  21
3 1 -5  60.7  28
4 -3 4  60.8  28
-4 2 4  63.8  12

Crystal structure
```
data_CaTb6Ho2
_cell_length_a 7.9857
_cell_length_b 8.7725
_cell_length_c 9.4657
_cell_angle_alpha 108.07
_cell_angle_beta 90.05
_cell_angle_gamma 111.08
_symmetry_space_group_name_H-M 'P -1'
_symmetry_Int_Tables_number 2
_symmetry_space_group_name_Hall '-P 1'
loop_
_atom_site_label
_atom_site_type_symbol
_atom_site_fract_x
_atom_site_fract_y
_atom_site_fract_z
Ca1 Ca 0.2503 0.0006 0.2503
Tb1 Tb 0.0336 0.4535 0.8061
Tb2 Tb 0.1458 0.2316 0.0308
Tb3 Tb 0.2017 0.1134 0.6432
Tb4 Tb 0.2979 0.8862 0.8561
Tb5 Tb 0.3537 0.7681 0.4697
Tb6 Tb 0.4207 0.6647 0.0804
Ho1 Ho 0.0802 0.3359 0.4200
Ho2 Ho 0.4674 0.5464 0.6925
```

=====

Structure and theoretical X-ray diffraction stick pattern of CaTb2Ho7 (a crystal structure in Alexandria, relaxed with PBE; λ = 1.5418 Å (Cu Kα)).
Peak positions follow from Bragg's law for the DFT cell and can differ from measured ones.

Most intense lines, 2θ = 10–80°, sorted by position:
h k l  2theta  Rel. int.
2 -1 0  30.8  100
-1 2 1  35.7  34
2 1 -2  35.8  17
3 0 1  51.3  12
2 -3 2  51.4  18
-3 1 3  51.5  6
0 1 -6  60.9  7
-2 2 4  61.1  18
-3 3 1  61.2  18
0 4 -4  64.2  9

Crystal structure
```
data_CaTb2Ho7
_cell_length_a 6.1528
_cell_length_b 6.1592
_cell_length_c 9.4191
_cell_angle_alpha 109.07
_cell_angle_beta 102.39
_cell_angle_gamma 99.60
_symmetry_space_group_name_H-M 'P -1'
_symmetry_Int_Tables_number 2
_symmetry_space_group_name_Hall '-P 1'
loop_
_atom_site_label
_atom_site_type_symbol
_atom_site_fract_x
_atom_site_fract_y
_atom_site_fract_z
Ca1 Ca 0.0000 0.0000 0.0000
Tb1 Tb 0.3948 0.7937 0.7936
Ho1 Ho 0.0992 0.2049 0.6964
Ho2 Ho 0.2038 0.4060 0.4055
Ho3 Ho 0.3122 0.6051 0.1036
Ho4 Ho 0.5000 0.0000 0.5000
```

=====

Structure and theoretical X-ray diffraction stick pattern of CaTb6Ho5 (a crystal structure in Alexandria, relaxed with PBE; λ = 1.5418 Å (Cu Kα)).
Peak positions follow from Bragg's law for the DFT cell and can differ from measured ones.

Most intense lines, 2θ = 10–80°, sorted by position:
h k l  2theta  Rel. int.
1 3 1  30.7  100
0 0 4  30.8  33
2 0 2  35.6  67
0 6 0  51.2  24
1 3 5  51.4  24
4 0 0  61.0  42
2 0 6  61.1  14
2 6 2  64.0  12
0 0 8  64.2  4
4 0 4  75.5  7

Crystal structure
```
data_CaTb6Ho5
_cell_length_a 6.1789
_cell_length_b 10.7016
_cell_length_c 11.7837
_cell_angle_alpha 90.00
_cell_angle_beta 100.06
_cell_angle_gamma 90.00
_symmetry_space_group_name_H-M 'C 1 2/m 1'
_symmetry_Int_Tables_number 12
_symmetry_space_group_name_Hall '-C 2y'
loop_
_atom_site_label
_atom_site_type_symbol
_atom_site_fract_x
_atom_site_fract_y
_atom_site_fract_z
Ca1 Ca 0.0000 0.0000 0.0000
Tb1 Tb 0.2449 0.5000 0.2536
Tb2 Tb 0.2455 0.3301 0.7467
Ho1 Ho 0.0000 0.1659 0.5000
Ho2 Ho 0.0000 0.3334 0.0000
Ho3 Ho 0.0000 0.5000 0.5000
```